# PmPa2MoC4
Calculated powder X-ray diffraction pattern, Cu Kα (λ = 1.5418 Å). Input: a cell relaxed with GGA-PBE.
Neutral-atom scattering factors, no anomalous dispersion.

Top 10 peaks for 5 to 70 degrees two-theta, sorted by position:
- d = 3.312 Å, rel. 49
- d = 3.026 Å, rel. 100
- d = 3.000 Å, rel. 62
- d = 2.979 Å, rel. 31
- d = 2.635 Å, rel. 25
- d = 2.464 Å, rel. 87
- d = 2.114 Å, rel. 24
- d = 1.972 Å, rel. 24
- d = 1.788 Å, rel. 25
- d = 1.503 Å, rel. 21

Structural model:
a b c (Å): 6.275 6.275 11.917
angles (deg): 90.00 90.00 145.95
Atoms (fractional coordinates):
Pm1 0.124 0.876 0.750
Pm2 0.876 0.124 0.250
Pa1 0.369 0.631 0.542
Pa2 0.369 0.631 0.958
Pa3 0.631 0.369 0.042
Pa4 0.631 0.369 0.458
Mo1 0.141 0.859 0.250
Mo2 0.859 0.141 0.750
C1 0.000 0.000 0.000
C2 0.000 0.000 0.500
C3 0.257 0.743 0.124
C4 0.257 0.743 0.376
C5 0.434 0.566 0.750
C6 0.566 0.434 0.250
C7 0.743 0.257 0.624
C8 0.743 0.257 0.876



# ThPa2MoC4
Calculated powder X-ray diffraction pattern, Cu Kα (λ = 1.5418 Å). Input: a cell relaxed with GGA-PBE.
Neutral-atom scattering factors, no anomalous dispersion.

Top 10 peaks for 5 to 70 degrees two-theta, sorted by position:
- d = 3.328 Å, rel. 56
- d = 3.021 Å, rel. 45
- d = 2.993 Å, rel. 100
- d = 2.622 Å, rel. 16
- d = 2.452 Å, rel. 58
- d = 2.126 Å, rel. 17
- d = 1.968 Å, rel. 19
- d = 1.904 Å, rel. 18
- d = 1.804 Å, rel. 14
- d = 1.787 Å, rel. 15

Structural model:
a b c (Å): 6.306 6.306 11.967
angles (deg): 90.00 90.00 146.75
Atoms (fractional coordinates):
Th1 0.114 0.886 0.750
Th2 0.886 0.114 0.250
Pa1 0.368 0.632 0.544
Pa2 0.368 0.632 0.956
Pa3 0.632 0.368 0.044
Pa4 0.632 0.368 0.456
Mo1 0.148 0.852 0.250
Mo2 0.852 0.148 0.750
C1 0.000 0.000 0.000
C2 0.000 0.000 0.500
C3 0.265 0.735 0.126
C4 0.265 0.735 0.374
C5 0.443 0.557 0.750
C6 0.557 0.443 0.250
C7 0.735 0.265 0.626
C8 0.735 0.265 0.874



# PrMo2C2
Calculated powder X-ray diffraction pattern, Cu Kα (λ = 1.5418 Å). Input: a cell relaxed with GGA-PBE.
Neutral-atom scattering factors, no anomalous dispersion.

Top 10 peaks for 5 to 70 degrees two-theta, sorted by position:
- d = 2.817 Å, rel. 16
- d = 2.790 Å, rel. 100
- d = 2.723 Å, rel. 86
- d = 2.280 Å, rel. 32
- d = 2.080 Å, rel. 45
- d = 1.840 Å, rel. 27
- d = 1.774 Å, rel. 16
- d = 1.764 Å, rel. 15
- d = 1.598 Å, rel. 19
- d = 1.396 Å, rel. 26

Structural model:
a b c (Å): 6.533 5.861 5.765
angles (deg): 68.38 56.50 55.12
Atoms (fractional coordinates):
Pr1 0.125 0.125 0.125
Pr2 0.875 0.875 0.875
Mo1 0.235 0.235 0.515
Mo2 0.485 0.485 0.765
Mo3 0.515 0.515 0.235
Mo4 0.765 0.765 0.485
C1 0.176 0.574 0.176
C2 0.426 0.824 0.426
C3 0.574 0.176 0.574
C4 0.824 0.426 0.824



# Mo2PtC
Calculated powder X-ray diffraction pattern, Cu Kα (λ = 1.5418 Å). Input: a cell relaxed with GGA-PBE.
Neutral-atom scattering factors, no anomalous dispersion.

Top 10 peaks for 5 to 70 degrees two-theta, sorted by position:
- d = 7.069 Å, rel. 27
- d = 3.535 Å, rel. 4
- d = 2.544 Å, rel. 9
- d = 2.394 Å, rel. 100
- d = 2.356 Å, rel. 30
- d = 2.065 Å, rel. 77
- d = 1.729 Å, rel. 5
- d = 1.469 Å, rel. 23
- d = 1.451 Å, rel. 21
- d = 1.438 Å, rel. 3

Structural model:
a b c (Å): 2.938 2.938 7.069
angles (deg): 90.00 90.00 120.00
Atoms (fractional coordinates):
Mo1 0.333 0.667 0.319
Mo2 0.667 0.333 0.681
Pt1 0.000 0.000 0.000
C1 0.000 0.000 0.500



# ZrRe2MoC
Calculated powder X-ray diffraction pattern, Cu Kα (λ = 1.5418 Å). Input: a cell relaxed with GGA-PBE.
Neutral-atom scattering factors, no anomalous dispersion.

Top 10 peaks for 5 to 70 degrees two-theta, sorted by position:
- d = 5.048 Å, rel. 100
- d = 4.656 Å, rel. 44
- d = 2.758 Å, rel. 98
- d = 2.524 Å, rel. 44
- d = 2.328 Å, rel. 71
- d = 2.114 Å, rel. 43
- d = 1.711 Å, rel. 55
- d = 1.646 Å, rel. 24
- d = 1.414 Å, rel. 25
- d = 1.379 Å, rel. 27

Structural model:
a b c (Å): 4.656 4.656 5.048
angles (deg): 90.00 90.00 90.00
Atoms (fractional coordinates):
Zr1 0.000 0.000 0.000
Re1 0.000 0.500 0.500
Re2 0.500 0.000 0.500
Mo1 0.000 0.000 0.500
C1 0.500 0.500 0.000



# Mo3Rh2C
Calculated powder X-ray diffraction pattern, Cu Kα (λ = 1.5418 Å). Input: a cell relaxed with GGA-PBE.
Neutral-atom scattering factors, no anomalous dispersion.

Top 10 peaks for 5 to 70 degrees two-theta, sorted by position:
- d = 4.859 Å, rel. 2
- d = 3.073 Å, rel. 2
- d = 2.291 Å, rel. 100
- d = 2.173 Å, rel. 55
- d = 2.072 Å, rel. 29
- d = 1.837 Å, rel. 11
- d = 1.620 Å, rel. 6
- d = 1.537 Å, rel. 5
- d = 1.374 Å, rel. 2
- d = 1.348 Å, rel. 29

Structural model:
a b c (Å): 6.872 6.872 6.872
angles (deg): 90.00 90.00 90.00
Atoms (fractional coordinates):
Mo1 0.049 0.125 0.799
Mo2 0.125 0.799 0.049
Mo3 0.201 0.549 0.375
Mo4 0.299 0.451 0.875
Mo5 0.375 0.201 0.549
Mo6 0.451 0.875 0.299
Mo7 0.549 0.375 0.201
Mo8 0.625 0.701 0.951
Mo9 0.701 0.951 0.625
Mo10 0.799 0.049 0.125
Mo11 0.875 0.299 0.451
Mo12 0.951 0.625 0.701
Rh1 0.062 0.938 0.438
Rh2 0.188 0.188 0.188
Rh3 0.312 0.812 0.688
Rh4 0.438 0.062 0.938
Rh5 0.562 0.562 0.562
Rh6 0.688 0.312 0.812
Rh7 0.812 0.688 0.312
Rh8 0.938 0.438 0.062
C1 0.125 0.375 0.625
C2 0.375 0.625 0.125
C3 0.625 0.125 0.375
C4 0.875 0.875 0.875



# Mo6RhC
Calculated powder X-ray diffraction pattern, Cu Kα (λ = 1.5418 Å). Input: a cell relaxed with GGA-PBE.
Neutral-atom scattering factors, no anomalous dispersion.

Top 10 peaks for 5 to 70 degrees two-theta, sorted by position:
- d = 2.508 Å, rel. 27
- d = 2.455 Å, rel. 63
- d = 2.359 Å, rel. 21
- d = 2.332 Å, rel. 81
- d = 2.305 Å, rel. 79
- d = 2.295 Å, rel. 100
- d = 2.150 Å, rel. 54
- d = 2.039 Å, rel. 20
- d = 2.023 Å, rel. 38
- d = 1.936 Å, rel. 37

Structural model:
a b c (Å): 4.765 4.966 5.315
angles (deg): 99.00 103.16 99.64
Atoms (fractional coordinates):
Mo1 0.097 0.242 0.196
Mo2 0.256 0.823 0.450
Mo3 0.292 0.408 0.781
Mo4 0.708 0.592 0.219
Mo5 0.744 0.177 0.550
Mo6 0.903 0.758 0.804
Rh1 0.500 0.000 0.000
C1 0.500 0.500 0.500



# MoRhC
Calculated powder X-ray diffraction pattern, Cu Kα (λ = 1.5418 Å). Input: a cell relaxed with GGA-PBE.
Neutral-atom scattering factors, no anomalous dispersion.

Top 8 peaks for 5 to 70 degrees two-theta, sorted by position:
- d = 9.066 Å, rel. 2
- d = 4.533 Å, rel. 1
- d = 2.484 Å, rel. 100
- d = 2.266 Å, rel. 25
- d = 2.099 Å, rel. 73
- d = 1.814 Å, rel. 1
- d = 1.541 Å, rel. 27
- d = 1.434 Å, rel. 20

Structural model:
a b c (Å): 9.239 9.239 9.239
angles (deg): 19.20 19.20 19.20
Atoms (fractional coordinates):
Mo1 0.123 0.123 0.123
Mo2 0.877 0.877 0.877
Rh1 0.374 0.374 0.374
Rh2 0.626 0.626 0.626
C1 0.254 0.254 0.254
C2 0.746 0.746 0.746



# ScMo2C
Calculated powder X-ray diffraction pattern, Cu Kα (λ = 1.5418 Å). Input: a cell relaxed with GGA-PBE.
Neutral-atom scattering factors, no anomalous dispersion.

Top 10 peaks for 5 to 70 degrees two-theta, sorted by position:
- d = 3.884 Å, rel. 12
- d = 3.592 Å, rel. 13
- d = 2.637 Å, rel. 100
- d = 2.540 Å, rel. 13
- d = 2.272 Å, rel. 28
- d = 2.126 Å, rel. 20
- d = 2.102 Å, rel. 41
- d = 1.829 Å, rel. 26
- d = 1.417 Å, rel. 15
- d = 1.409 Å, rel. 12

Structural model:
a b c (Å): 5.579 5.579 5.579
angles (deg): 99.86 99.86 131.12
Atoms (fractional coordinates):
Sc1 0.000 0.000 0.000
Sc2 0.750 0.250 0.500
Mo1 0.232 0.125 0.607
Mo2 0.375 0.768 0.893
Mo3 0.518 0.625 0.393
Mo4 0.875 0.482 0.107
C1 0.250 0.750 0.500
C2 0.500 0.500 0.000



# Sm3MoC3
Calculated powder X-ray diffraction pattern, Cu Kα (λ = 1.5418 Å). Input: a cell relaxed with GGA-PBE.
Neutral-atom scattering factors, no anomalous dispersion.

Top 10 peaks for 5 to 70 degrees two-theta, sorted by position:
- d = 2.892 Å, rel. 100
- d = 2.876 Å, rel. 15
- d = 2.826 Å, rel. 23
- d = 2.692 Å, rel. 21
- d = 2.666 Å, rel. 34
- d = 2.238 Å, rel. 12
- d = 1.894 Å, rel. 15
- d = 1.746 Å, rel. 12
- d = 1.579 Å, rel. 17
- d = 1.461 Å, rel. 11

Structural model:
a b c (Å): 7.002 7.002 5.332
angles (deg): 90.00 90.00 100.53
Atoms (fractional coordinates):
Sm1 0.111 0.889 0.750
Sm2 0.171 0.405 0.750
Sm3 0.405 0.171 0.250
Sm4 0.595 0.829 0.750
Sm5 0.829 0.595 0.250
Sm6 0.889 0.111 0.250
Mo1 0.307 0.693 0.250
Mo2 0.693 0.307 0.750
C1 0.124 0.876 0.250
C2 0.176 0.418 0.250
C3 0.418 0.176 0.750
C4 0.582 0.824 0.250
C5 0.824 0.582 0.750
C6 0.876 0.124 0.750



# Ta4MoC4
Calculated powder X-ray diffraction pattern, Cu Kα (λ = 1.5418 Å). Input: a cell relaxed with GGA-PBE.
Neutral-atom scattering factors, no anomalous dispersion.

Top 10 peaks for 5 to 70 degrees two-theta, sorted by position:
- d = 4.932 Å, rel. 5
- d = 3.487 Å, rel. 2
- d = 2.557 Å, rel. 100
- d = 2.232 Å, rel. 20
- d = 2.206 Å, rel. 39
- d = 2.034 Å, rel. 1
- d = 1.775 Å, rel. 1
- d = 1.744 Å, rel. 1
- d = 1.569 Å, rel. 26
- d = 1.560 Å, rel. 13

Structural model:
a b c (Å): 5.414 5.414 5.414
angles (deg): 99.79 99.79 131.30
Atoms (fractional coordinates):
Ta1 0.107 0.307 0.414
Ta2 0.307 0.893 0.199
Ta3 0.693 0.107 0.801
Ta4 0.893 0.693 0.586
Mo1 0.500 0.500 0.000
C1 0.200 0.599 0.799
C2 0.401 0.200 0.601
C3 0.599 0.800 0.399
C4 0.800 0.401 0.201



# TbMoC
Calculated powder X-ray diffraction pattern, Cu Kα (λ = 1.5418 Å). Input: a cell relaxed with GGA-PBE.
Neutral-atom scattering factors, no anomalous dispersion.

Top 10 peaks for 5 to 70 degrees two-theta, sorted by position:
- d = 2.923 Å, rel. 23
- d = 2.885 Å, rel. 40
- d = 2.678 Å, rel. 43
- d = 2.640 Å, rel. 27
- d = 2.602 Å, rel. 100
- d = 2.507 Å, rel. 90
- d = 2.451 Å, rel. 21
- d = 2.056 Å, rel. 20
- d = 1.669 Å, rel. 26
- d = 1.424 Å, rel. 21

Structural model:
a b c (Å): 6.114 6.114 5.794
angles (deg): 113.33 113.33 31.90
Atoms (fractional coordinates):
Tb1 0.114 0.114 0.313
Tb2 0.886 0.886 0.687
Mo1 0.341 0.341 0.162
Mo2 0.659 0.659 0.838
C1 0.246 0.246 0.767
C2 0.754 0.754 0.233



What did the seventh record say?
# Mo6RhC
Calculated powder X-ray diffraction pattern, Cu Kα (λ = 1.5418 Å). Input: a cell relaxed with GGA-PBE.
Neutral-atom scattering factors, no anomalous dispersion.

Top 10 peaks for 5 to 70 degrees two-theta, sorted by position:
- d = 2.508 Å, rel. 27
- d = 2.455 Å, rel. 63
- d = 2.359 Å, rel. 21
- d = 2.332 Å, rel. 81
- d = 2.305 Å, rel. 79
- d = 2.295 Å, rel. 100
- d = 2.150 Å, rel. 54
- d = 2.039 Å, rel. 20
- d = 2.023 Å, rel. 38
- d = 1.936 Å, rel. 37

Structural model:
a b c (Å): 4.765 4.966 5.315
angles (deg): 99.00 103.16 99.64
Atoms (fractional coordinates):
Mo1 0.097 0.242 0.196
Mo2 0.256 0.823 0.450
Mo3 0.292 0.408 0.781
Mo4 0.708 0.592 0.219
Mo5 0.744 0.177 0.550
Mo6 0.903 0.758 0.804
Rh1 0.500 0.000 0.000
C1 0.500 0.500 0.500